# LaZrGeAsH
Calculated X-ray powder pattern, λ = 1.5418 Å (Cu Kα). Input: the PBE geometry in Alexandria.

Peak list (10 most intense, 15 to 90 degrees two-theta, in order of rising 2θ)
| (hkl) | 2θ/deg | I_rel |
| --- | --- | --- |
| 0 1 2 | 26.14 | 88 |
| 1 0 4 | 30.25 | 24 |
| 0 1 5 | 33.03 | 100 |
| 1 0 7 | 39.58 | 78 |
| 1 1 0 | 43.36 | 80 |
| 2 0 5 | 55.57 | 22 |
| 0 2 7 | 60.14 | 32 |
| 1 1 12 | 71.31 | 20 |
| 1 2 5 | 73.00 | 19 |
| 2 1 7 | 77.02 | 20 |

Structure:
```
data_LaZrGeAsH
_chemical_formula_sum 'La3 Zr3 Ge3 As3 H3'
_symmetry_space_group_name_H-M 'R 3 m'
_symmetry_Int_Tables_number 160
_symmetry_space_group_name_Hall 'R 3 -2"'
_cell_length_a 4.1733
_cell_length_b 4.1733
_cell_length_c 20.5168
_cell_angle_alpha 90.00
_cell_angle_beta 90.00
_cell_angle_gamma 120.00
loop_
_atom_site_label
_atom_site_fract_x
_atom_site_fract_y
_atom_site_fract_z
La1 0.0000 0.0000 0.0000
Zr1 0.0000 0.0000 0.1761
Ge1 0.0000 0.0000 0.5734
As1 0.0000 0.0000 0.4351
H1 0.0000 0.0000 0.6636
```